Mg14SnBi: computed X-ray powder pattern (CuKα), based on a crystal structure in the Materials Project, relaxed with GGA-PBE.
Neutral-atom scattering factors, no anomalous dispersion.

Structure:
a b c (Å): 10.356 6.712 10.935
angles (deg): 90.00 90.00 90.00
Space group Amm2 (No. 38)
Asymmetric unit:
Mg (0.000, 0.000, 0.000) (multiplicity 2)
Mg (0.000, 0.000, 0.500) (multiplicity 2)
Mg (0.000, 0.250, 0.251) (multiplicity 4)
Mg (0.247, 0.000, 0.169) (multiplicity 4)
Mg (0.247, 0.248, 0.417) (multiplicity 8)
Mg (0.250, 0.000, 0.668) (multiplicity 4)
Mg (0.500, 0.250, 0.250) (multiplicity 4)
Sn (0.500, 0.000, 0.502) (multiplicity 2)
Bi (0.500, 0.000, 0.002) (multiplicity 2)

Largest 6 diffraction maxima, in order of falling intensity, 2θ from 10° to 90°:
(2 2 2), 2θ 35.9, d = 2.504 Å, I 100.0; (1 0 2), 2θ 18.3, d = 4.835 Å, I 51.3; (2 0 4), 2θ 37.2, d = 2.418 Å, I 45.4; (4 0 0), 2θ 34.6, d = 2.589 Å, I 34.8; (0 2 2), 2θ 31.3, d = 2.860 Å, I 33.9; (0 0 2), 2θ 16.2, d = 5.468 Å, I 33.5


Mg14SnBi: computed X-ray powder pattern (CuKα), based on a crystal structure in the Materials Project, relaxed with GGA-PBE.
Neutral-atom scattering factors, no anomalous dispersion.

Structure:
a b c (Å): 6.4372 6.4372 10.4085
angles (deg): 90.00 90.00 120.00
Space group P-6m2 (No. 187)
Asymmetric unit:
Mg (0.0000, 0.0000, 0.2487) (multiplicity 2)
Mg (0.3321, 0.1661, 0.0000) (multiplicity 3)
Mg (0.3325, 0.1662, 0.5000) (multiplicity 3)
Mg (0.5040, 0.0079, 0.2517) (multiplicity 6)
Sn (0.3333, 0.6667, 0.5000) (multiplicity 1)
Bi (0.3333, 0.6667, 0.0000) (multiplicity 1)

Largest 6 diffraction maxima, in order of falling intensity, 2θ from 10° to 90°:
(2 0 2), 2θ 36.6, d = 2.457 Å, I 100.0; (1 0 0), 2θ 15.9, d = 5.575 Å, I 71.8; (1 0 2), 2θ 23.4, d = 3.804 Å, I 64.4; (2 0 0), 2θ 32.1, d = 2.787 Å, I 33.3; (1 1 2), 2θ 32.7, d = 2.737 Å, I 27.3; (0 0 4), 2θ 34.5, d = 2.602 Å, I 24.8


SrMg14Bi: computed X-ray powder pattern (CuKα), based on a crystal structure in the Materials Project, relaxed with GGA-PBE.
Neutral-atom scattering factors, no anomalous dispersion.

Structure:
a b c (Å): 10.626 6.505 11.551
angles (deg): 90.00 90.00 90.00
Space group Amm2 (No. 38)
Asymmetric unit:
Sr (0.000, 0.000, 0.000) (multiplicity 2)
Mg (0.000, 0.246, 0.250) (multiplicity 4)
Mg (0.251, 0.000, 0.669) (multiplicity 4)
Mg (0.261, 0.000, 0.170) (multiplicity 4)
Mg (0.264, 0.248, 0.413) (multiplicity 8)
Mg (0.500, 0.000, 0.000) (multiplicity 2)
Mg (0.500, 0.000, 0.501) (multiplicity 2)
Mg (0.500, 0.249, 0.749) (multiplicity 4)
Bi (0.000, 0.000, 0.496) (multiplicity 2)

Largest 6 diffraction maxima, in order of falling intensity, 2θ from 10° to 90°:
(2 2 2), 2θ 35.9, d = 2.501 Å, I 100.0; (2 0 4), 2θ 35.4, d = 2.537 Å, I 50.6; (1 0 2), 2θ 17.5, d = 5.074 Å, I 48.7; (4 0 0), 2θ 33.7, d = 2.656 Å, I 36.8; (0 2 2), 2θ 31.6, d = 2.834 Å, I 31.1; (0 0 2), 2θ 15.3, d = 5.775 Å, I 31.0


SrMg14Bi: computed X-ray powder pattern (CuKα), based on a crystal structure in the Materials Project, relaxed with GGA-PBE.
Neutral-atom scattering factors, no anomalous dispersion.

Structure:
a b c (Å): 6.5931 6.5931 10.6818
angles (deg): 90.00 90.00 120.00
Space group P-6m2 (No. 187)
Asymmetric unit:
Sr (0.0000, 0.0000, 0.0000) (multiplicity 1)
Mg (0.0064, 0.5032, 0.0000) (multiplicity 3)
Mg (0.1713, 0.3427, 0.2541) (multiplicity 6)
Mg (0.5021, 0.0041, 0.5000) (multiplicity 3)
Mg (0.6667, 0.3333, 0.2452) (multiplicity 2)
Bi (0.0000, 0.0000, 0.5000) (multiplicity 1)

Largest 6 diffraction maxima, in order of falling intensity, 2θ from 10° to 90°:
(2 0 2), 2θ 35.7, d = 2.518 Å, I 100.0; (1 0 0), 2θ 15.5, d = 5.710 Å, I 60.8; (1 0 2), 2θ 22.8, d = 3.900 Å, I 55.9; (2 0 0), 2θ 31.3, d = 2.855 Å, I 31.9; (0 0 4), 2θ 33.6, d = 2.670 Å, I 25.1; (1 1 2), 2θ 31.9, d = 2.805 Å, I 23.5


Mg6VBi: computed X-ray powder pattern (CuKα), based on a crystal structure in the Materials Project, relaxed with GGA-PBE.
Neutral-atom scattering factors, no anomalous dispersion.

Structure:
a b c (Å): 5.112 6.453 10.892
angles (deg): 90.00 90.00 90.00
Space group Amm2 (No. 38)
Asymmetric unit:
Mg (0.000, 0.000, 0.000) (multiplicity 2)
Mg (0.000, 0.241, 0.745) (multiplicity 4)
Mg (0.500, 0.000, 0.833) (multiplicity 2)
Mg (0.500, 0.246, 0.580) (multiplicity 4)
V (0.000, 0.000, 0.501) (multiplicity 2)
Bi (0.500, 0.000, 0.337) (multiplicity 2)

Largest 6 diffraction maxima, in order of falling intensity, 2θ from 10° to 90°:
(0 1 1), 2θ 16.0, d = 5.552 Å, I 100.0; (1 2 2), 2θ 36.8, d = 2.439 Å, I 94.0; (1 1 1), 2θ 23.7, d = 3.761 Å, I 64.3; (1 0 4), 2θ 37.4, d = 2.403 Å, I 47.8; (1 0 2), 2θ 23.9, d = 3.727 Å, I 41.7; (1 1 3), 2θ 33.3, d = 2.690 Å, I 39.8


Mg6VBi: computed X-ray powder pattern (CuKα), based on a crystal structure in the Materials Project, relaxed with GGA-PBE.
Neutral-atom scattering factors, no anomalous dispersion.

Structure:
a b c (Å): 5.221 6.209 11.092
angles (deg): 90.00 90.00 90.00
Space group Amm2 (No. 38)
Asymmetric unit:
Mg (0.000, 0.000, 0.000) (multiplicity 2)
Mg (0.000, 0.000, 0.491) (multiplicity 2)
Mg (0.000, 0.238, 0.244) (multiplicity 4)
Mg (0.500, 0.249, 0.578) (multiplicity 4)
V (0.500, 0.000, 0.328) (multiplicity 2)
Bi (0.500, 0.000, 0.830) (multiplicity 2)

Largest 6 diffraction maxima, in order of falling intensity, 2θ from 10° to 90°:
(1 2 2), 2θ 37.4, d = 2.404 Å, I 100.0; (0 2 2), 2θ 33.0, d = 2.711 Å, I 63.2; (0 0 2), 2θ 16.0, d = 5.546 Å, I 59.8; (0 1 1), 2θ 16.4, d = 5.418 Å, I 59.3; (1 1 1), 2θ 23.7, d = 3.759 Å, I 58.8; (1 0 4), 2θ 36.7, d = 2.449 Å, I 53.7